[1]
Calculated powder X-ray diffraction pattern
Compound: GaBO3
Radiation: Cu Kα X-rays
Structure: a crystal structure in the Materials Project, relaxed with PBE

Top 10 peaks for 2θ from 10° to 90°, by intensity:
- 2θ = 33.45°, d = 2.679 Å, intensity 100
- 2θ = 25.46°, d = 3.499 Å, intensity 86
- 2θ = 55.14°, d = 1.666 Å, intensity 45
- 2θ = 38.99°, d = 2.310 Å, intensity 28
- 2θ = 47.14°, d = 1.928 Å, intensity 28
- 2θ = 55.94°, d = 1.644 Å, intensity 21
- 2θ = 62.77°, d = 1.480 Å, intensity 20
- 2θ = 67.11°, d = 1.395 Å, intensity 19
- 2θ = 43.46°, d = 2.082 Å, intensity 18
- 2θ = 52.29°, d = 1.749 Å, intensity 18

Cell and atoms:
```
10
Lattice="2.3103 1.3339 4.8073 -2.3103 1.3339 4.8073 0.0000 -2.6677 4.8073" Properties=species:S:1:pos:R:3 pbc="T T T"
Ga 0.0000 0.0000 0.0000
Ga 0.0000 0.0000 7.2109
B 0.0000 0.0000 3.6054
B 0.0000 0.0000 10.8163
O -1.6181 -0.1348 6.0091
O -0.6923 -1.4687 8.4127
O 0.9258 -1.3339 6.0091
O -0.9258 1.3339 8.4127
O 0.6923 1.4687 6.0091
O 1.6180 0.1348 8.4127
```

=====

[2]
Calculated powder X-ray diffraction pattern
Compound: TiMnRh2
Radiation: Cu Kα X-rays
Structure: a crystal structure in the Materials Project, relaxed with PBE

Top 6 peaks for 2θ from 10° to 90°, by intensity:
- 2θ = 41.45°, d = 2.178 Å, intensity 100
- 2θ = 75.61°, d = 1.258 Å, intensity 31
- 2θ = 60.07°, d = 1.540 Å, intensity 16
- 2θ = 28.99°, d = 3.081 Å, intensity 16
- 2θ = 68.05°, d = 1.378 Å, intensity 6
- 2θ = 51.37°, d = 1.779 Å, intensity 4

Cell and atoms:
```
4
Lattice="0.0000 3.0806 3.0806 3.0806 0.0000 3.0806 3.0806 3.0806 0.0000" Properties=species:S:1:pos:R:3 pbc="T T T"
Ti 0.0000 0.0000 0.0000
Mn 3.0806 3.0806 3.0806
Rh 1.5403 1.5403 1.5403
Rh 4.6208 4.6208 4.6208
```

=====

[3]
Calculated powder X-ray diffraction pattern
Compound: PrIn
Radiation: Cu Kα X-rays
Structure: a crystal structure in the Materials Project, relaxed with PBE

Top 8 peaks for 2θ from 10° to 90°, by intensity:
- 2θ = 32.45°, d = 2.759 Å, intensity 100
- 2θ = 57.89°, d = 1.593 Å, intensity 37
- 2θ = 46.55°, d = 1.951 Å, intensity 18
- 2θ = 77.34°, d = 1.234 Å, intensity 16
- 2θ = 67.95°, d = 1.379 Å, intensity 11
- 2θ = 86.39°, d = 1.126 Å, intensity 4
- 2θ = 22.79°, d = 3.902 Å, intensity 1
- 2θ = 52.44°, d = 1.745 Å, intensity 1

Cell and atoms:
```
2
Lattice="3.9016 0.0000 0.0000 0.0000 3.9016 0.0000 0.0000 0.0000 3.9016" Properties=species:S:1:pos:R:3 pbc="T T T"
Pr 0.0000 0.0000 0.0000
In 1.9508 1.9508 1.9508
```

=====

[4]
Calculated powder X-ray diffraction pattern
Compound: SmNiGe
Radiation: Cu Kα X-rays
Structure: a crystal structure in the Materials Project, relaxed with PBE

Top 10 peaks for 2θ from 10° to 90°, by intensity:
- 2θ = 34.90°, d = 2.571 Å, intensity 100
- 2θ = 34.68°, d = 2.587 Å, intensity 51
- 2θ = 42.90°, d = 2.108 Å, intensity 40
- 2θ = 35.33°, d = 2.540 Å, intensity 36
- 2θ = 41.80°, d = 2.161 Å, intensity 35
- 2θ = 39.93°, d = 2.258 Å, intensity 23
- 2θ = 68.69°, d = 1.366 Å, intensity 22
- 2θ = 55.85°, d = 1.646 Å, intensity 20
- 2θ = 23.97°, d = 3.712 Å, intensity 17
- 2θ = 59.18°, d = 1.561 Å, intensity 14

Cell and atoms:
```
12
Lattice="7.1286 0.0000 0.0000 0.0000 4.3224 0.0000 0.0000 0.0000 7.2437" Properties=species:S:1:pos:R:3 pbc="T T T"
Sm 0.1057 1.0806 1.4535
Sm 3.4587 3.2418 5.0753
Sm 3.6700 1.0806 2.1684
Sm 7.0230 3.2418 5.7903
Ni 1.2700 3.2418 3.0488
Ni 2.2944 1.0806 6.6707
Ni 4.8343 3.2418 0.5730
Ni 5.8587 1.0806 4.1949
Ge 1.3760 1.0806 4.2979
Ge 2.1883 3.2418 0.6761
Ge 4.9403 1.0806 6.5676
Ge 5.7527 3.2418 2.9458
```

=====

[5]
Calculated powder X-ray diffraction pattern
Compound: CuH12I4N4
Radiation: Cu Kα X-rays
Structure: a crystal structure in the Materials Project, relaxed with PBE

Top 10 peaks for 2θ from 10° to 90°, by intensity:
- 2θ = 19.43°, d = 4.569 Å, intensity 100
- 2θ = 24.99°, d = 3.564 Å, intensity 100
- 2θ = 26.01°, d = 3.426 Å, intensity 50
- 2θ = 31.78°, d = 2.815 Å, intensity 37
- 2θ = 17.12°, d = 5.179 Å, intensity 34
- 2θ = 34.96°, d = 2.566 Å, intensity 31
- 2θ = 33.58°, d = 2.669 Å, intensity 31
- 2θ = 28.77°, d = 3.103 Å, intensity 27
- 2θ = 41.49°, d = 2.177 Å, intensity 27
- 2θ = 21.05°, d = 4.220 Å, intensity 26

Cell and atoms:
```
21
Lattice="5.9983 -4.5686 0.0000 5.9983 4.5686 0.0000 -2.3721 0.0000 6.2066" Properties=species:S:1:pos:R:3 pbc="T T T"
Cu 0.0000 0.0000 0.0000
H 2.0206 2.9304 5.0044
H 3.1848 3.4010 3.9305
H 3.5203 2.2319 5.0407
H 6.4396 3.4010 2.2762
H 6.1041 2.2319 1.1659
H 7.6038 2.9304 1.2023
H 2.0206 -2.9304 5.0044
H 3.5203 -2.2319 5.0407
H 3.1848 -3.4010 3.9305
H 6.1041 -2.2319 1.1659
H 6.4396 -3.4010 2.2762
H 7.6038 -2.9304 1.2023
I 0.6102 0.0000 4.8722
I 4.2690 0.0000 1.7443
I 5.3554 0.0000 4.4623
I 9.0142 0.0000 1.3345
N 3.0264 3.1213 4.9038
N 6.5980 3.1213 1.3028
N 3.0264 -3.1213 4.9038
N 6.5980 -3.1213 1.3028
```